Record 1
For Ba2CdPb, a PBE-relaxed structure gives the simulated PXRD pattern in this record (Cu Kα (weighted mean of Kα1 and Kα2)).
Intensities are scaled so that the largest is 100.

Atomic structure:
Cell: 8.409 8.920 8.162 Å, 90.00 90.00 90.00°
Space group Imma (No. 74)
Asymmetric unit:
Ba1 0.250 0.025 0.250
Cd1 0.000 0.250 0.545
Pb1 0.000 0.250 0.959

Main lines, low angle first (10 to 90 degrees two-theta):
| 2θ (°) | d (Å) | intensity |
| --- | --- | --- |
| 29.2 | 3.059 | 100 |
| 29.7 | 3.011 | 81 |
| 30.5 | 2.928 | 80 |
| 40.5 | 2.230 | 18 |
| 43.0 | 2.102 | 18 |
| 51.5 | 1.774 | 30 |
| 53.1 | 1.724 | 32 |
| 54.0 | 1.698 | 18 |

=====

Record 2
For CsDy4As3, a PBE-relaxed structure gives the simulated PXRD pattern in this record (Cu Kα (weighted mean of Kα1 and Kα2)).
Intensities are scaled so that the largest is 100.

Atomic structure:
Cell: 4.848 4.848 11.127 Å, 90.00 90.00 90.00°
Space group P4/mmm (No. 123)
Asymmetric unit:
Cs1 0.000 0.000 0.000
Dy1 0.000 0.500 0.344
As1 0.000 0.000 0.500
As2 0.500 0.500 0.208

Main lines, low angle first (10 to 90 degrees two-theta):
| 2θ (°) | d (Å) | intensity |
| --- | --- | --- |
| 24.0 | 3.709 | 48 |
| 24.4 | 3.655 | 67 |
| 27.2 | 3.276 | 87 |
| 35.7 | 2.518 | 100 |
| 37.1 | 2.424 | 96 |
| 41.8 | 2.160 | 74 |
| 44.7 | 2.029 | 37 |
| 53.5 | 1.714 | 33 |

=====

Record 3
For LiNd5Te6, a PBE-relaxed structure gives the simulated PXRD pattern in this record (Cu Kα (weighted mean of Kα1 and Kα2)).
Intensities are scaled so that the largest is 100.

Atomic structure:
Cell: 7.717 13.383 7.740 Å, 90.00 109.58 90.00°
Space group C2/m (No. 12)
Asymmetric unit:
Li1 0.000 0.000 0.000
Nd1 0.000 0.171 0.500
Nd2 0.000 0.336 0.000
Nd3 0.000 0.500 0.500
Te1 0.237 0.000 0.756
Te2 0.239 0.160 0.241

Main lines, low angle first (10 to 90 degrees two-theta):
| 2θ (°) | d (Å) | intensity |
| --- | --- | --- |
| 28.3 | 3.154 | 100 |
| 40.4 | 2.231 | 63 |
| 40.5 | 2.228 | 13 |
| 50.1 | 1.822 | 20 |
| 58.5 | 1.577 | 12 |
| 66.2 | 1.412 | 11 |
| 66.3 | 1.410 | 22 |
| 73.5 | 1.288 | 16 |

=====

Record 4
For SmGd2In3Pd3, a PBE-relaxed structure gives the simulated PXRD pattern in this record (Cu Kα (weighted mean of Kα1 and Kα2)).
Intensities are scaled so that the largest is 100.

Atomic structure:
Cell: 3.936 13.362 7.699 Å, 90.00 90.00 90.00°
Space group Amm2 (No. 38)
Asymmetric unit:
Sm1 0.000 0.000 0.000
Gd1 0.000 0.205 0.385
In1 0.500 0.000 0.334
In2 0.500 0.129 0.718
Pd1 0.000 0.000 0.589
Pd2 0.500 0.168 0.091

Main lines, low angle first (10 to 90 degrees two-theta):
| 2θ (°) | d (Å) | intensity |
| --- | --- | --- |
| 32.5 | 2.754 | 100 |
| 35.3 | 2.545 | 93 |
| 35.6 | 2.523 | 50 |
| 40.5 | 2.225 | 36 |
| 42.6 | 2.124 | 22 |
| 46.1 | 1.968 | 24 |
| 59.6 | 1.552 | 22 |
| 65.4 | 1.428 | 21 |